[1]
This entry pairs a crystal structure of KNd2S3 with its simulated PXRD pattern. Radiation: Cu Kα, 1.54184 Å. Structure: a cell relaxed with GGA-PBE.
Peak positions follow from Bragg's law for the DFT cell and can differ from measured ones.

The 10 most intense peaks (2θ = 15–90°), in order of falling intensity:
2θ/deg  intensity
27.87  100
32.49  60
43.92  49
45.44  40
29.97  39
24.65  23
51.01  21
52.82  17
69.17  17
41.87  17

Structure:
```
KNd2S3
1.0
4.1230 0.0000 0.0000
-2.0615 3.5706 0.0000
0.0000 0.0000 21.6659
K Nd S
2 4 6
Direct
0.0000 0.0000 0.2500 K
0.0000 0.0000 0.7500 K
0.3333 0.6667 0.0779 Nd
0.3333 0.6667 0.4221 Nd
0.6667 0.3333 0.5779 Nd
0.6667 0.3333 0.9221 Nd
0.0000 0.0000 0.0000 S
0.0000 0.0000 0.5000 S
0.3333 0.6667 0.6495 S
0.3333 0.6667 0.8505 S
0.6667 0.3333 0.1495 S
0.6667 0.3333 0.3505 S
```


[2]
This entry pairs a crystal structure of KNd4S6 with its simulated PXRD pattern. Radiation: Cu Kα, 1.54184 Å. Structure: a cell relaxed with GGA-PBE.
Peak positions follow from Bragg's law for the DFT cell and can differ from measured ones.

The 10 most intense peaks (2θ = 15–90°), in order of falling intensity:
2θ/deg  intensity
24.45  100
31.93  80
30.51  54
29.62  41
44.97  37
43.17  34
28.16  32
26.03  31
40.72  29
24.18  28

Structure:
```
KNd4S6
1.0
2.0444 -6.8475 0.0000
2.0444 6.8475 0.0000
0.0000 0.0000 21.4930
K Nd S
2 8 12
Direct
0.1478 0.8522 0.7500 K
0.8522 0.1478 0.2500 K
0.1033 0.8967 0.1358 Nd
0.1033 0.8967 0.3642 Nd
0.3694 0.6306 0.0433 Nd
0.3694 0.6306 0.4567 Nd
0.6306 0.3694 0.5433 Nd
0.6306 0.3694 0.9567 Nd
0.8967 0.1033 0.6358 Nd
0.8967 0.1033 0.8642 Nd
0.0000 0.0000 0.0000 S
0.0000 0.0000 0.5000 S
0.1787 0.8213 0.2500 S
0.2720 0.7280 0.5785 S
0.2720 0.7280 0.9215 S
0.4676 0.5324 0.1545 S
0.4676 0.5324 0.3455 S
0.5324 0.4676 0.6545 S
0.5324 0.4676 0.8455 S
0.7280 0.2720 0.0785 S
0.7280 0.2720 0.4215 S
0.8213 0.1787 0.7500 S
```


[3]
This entry pairs a crystal structure of KNdSiS4 with its simulated PXRD pattern. Radiation: Cu Kα, 1.54184 Å. Structure: a cell relaxed with GGA-PBE.
Peak positions follow from Bragg's law for the DFT cell and can differ from measured ones.

The 10 most intense peaks (2θ = 15–90°), in order of falling intensity:
2θ/deg  intensity
31.85  100
19.48  100
26.91  79
33.11  71
39.56  71
30.15  67
34.44  65
38.74  62
34.84  60
17.02  55

Structure:
```
KNdSiS4
1.0
6.5594 0.0000 0.0000
0.0000 6.6273 0.0000
-2.5700 0.0000 8.4230
K Nd Si S
2 2 2 8
Direct
0.2262 0.2500 0.4336 K
0.7738 0.7500 0.5664 K
0.2706 0.2500 0.9489 Nd
0.7294 0.7500 0.0511 Nd
0.2806 0.7500 0.1791 Si
0.7194 0.2500 0.8209 Si
0.0850 0.7500 0.3314 S
0.0971 0.7500 0.9350 S
0.4951 0.0006 0.2183 S
0.4951 0.4994 0.2183 S
0.5049 0.5006 0.7817 S
0.5049 0.9994 0.7817 S
0.9029 0.2500 0.0650 S
0.9150 0.2500 0.6686 S
```


[4]
This entry pairs a crystal structure of KNd2SmS4 with its simulated PXRD pattern. Radiation: Cu Kα, 1.54184 Å. Structure: a cell relaxed with GGA-PBE.
Peak positions follow from Bragg's law for the DFT cell and can differ from measured ones.

The 10 most intense peaks (2θ = 15–90°), in order of falling intensity:
2θ/deg  intensity
30.65  100
43.90  48
26.25  31
26.66  30
43.35  12
54.93  12
44.40  12
63.81  11
51.62  11
72.52  10

Structure:
```
KNd2SmS4
1.0
7.1617 0.0000 0.0000
0.0000 4.0805 0.0000
-2.3142 0.0000 6.7985
K Nd Sm S
1 2 1 4
Direct
0.0000 0.0000 0.0000 K
0.5000 0.0000 0.5000 Nd
0.5000 0.5000 0.0000 Nd
0.0000 0.5000 0.5000 Sm
0.2512 0.0000 0.7414 S
0.2627 0.5000 0.2666 S
0.7373 0.5000 0.7334 S
0.7488 0.0000 0.2586 S
```


[5]
This entry pairs a crystal structure of K3NdSm2Se6 with its simulated PXRD pattern. Radiation: Cu Kα, 1.54184 Å. Structure: a cell relaxed with GGA-PBE.
Peak positions follow from Bragg's law for the DFT cell and can differ from measured ones.

The 10 most intense peaks (2θ = 15–90°), in order of falling intensity:
2θ/deg  intensity
28.44  100
41.86  36
39.43  35
51.39  19
36.31  17
68.36  16
43.56  12
64.90  12
24.12  11
58.86  10

Structure:
```
K3NdSm2Se6
1.0
3.7374 -6.4736 0.0000
3.7374 6.4736 0.0000
-2.4914 0.0000 7.7029
K Nd Sm Se
3 1 2 6
Direct
0.0000 0.0000 0.0000 K
0.3336 0.6664 0.0000 K
0.6664 0.3336 0.0000 K
0.5000 0.5000 0.5000 Nd
0.1667 0.8333 0.5000 Sm
0.8333 0.1667 0.5000 Sm
0.0939 0.4301 0.2904 Se
0.2337 0.2337 0.7097 Se
0.4301 0.0939 0.2904 Se
0.5699 0.9061 0.7096 Se
0.7663 0.7663 0.2903 Se
0.9061 0.5699 0.7096 Se
```


[6]
This entry pairs a crystal structure of K4TbNd3Se8 with its simulated PXRD pattern. Radiation: Cu Kα, 1.54184 Å. Structure: a cell relaxed with GGA-PBE.
Peak positions follow from Bragg's law for the DFT cell and can differ from measured ones.

The 10 most intense peaks (2θ = 15–90°), in order of falling intensity:
2θ/deg  intensity
28.42  100
41.81  36
39.40  35
51.33  19
36.28  17
68.27  16
43.50  12
64.85  12
24.09  11
58.80  10

Structure:
```
K4TbNd3Se8
1.0
4.3210 2.4947 7.7048
-4.3210 2.4947 7.7048
0.0000 -4.9895 7.7048
K Tb Nd Se
4 1 3 8
Direct
0.0000 0.0000 0.0000 K
0.0000 0.5000 0.5000 K
0.5000 0.0000 0.5000 K
0.5000 0.5000 0.0000 K
0.5000 0.5000 0.5000 Tb
0.0000 0.0000 0.5000 Nd
0.0000 0.5000 0.0000 Nd
0.5000 0.0000 0.0000 Nd
0.2373 0.2373 0.2373 Se
0.2425 0.7332 0.7332 Se
0.2668 0.2668 0.7575 Se
0.2668 0.7575 0.2668 Se
0.7332 0.2425 0.7332 Se
0.7332 0.7332 0.2425 Se
0.7575 0.2668 0.2668 Se
0.7627 0.7627 0.7627 Se
```


[7]
This entry pairs a crystal structure of K4Tb3NdSe8 with its simulated PXRD pattern. Radiation: Cu Kα, 1.54184 Å. Structure: a cell relaxed with GGA-PBE.
Peak positions follow from Bragg's law for the DFT cell and can differ from measured ones.

The 10 most intense peaks (2θ = 15–90°), in order of falling intensity:
2θ/deg  intensity
28.72  100
42.42  36
39.66  35
36.55  19
52.03  18
69.30  15
44.10  13
24.42  12
50.02  11
65.37  11

Structure:
```
K4Tb3NdSe8
1.0
4.2618 2.4605 7.6911
-4.2618 2.4605 7.6911
0.0000 -4.9211 7.6911
K Tb Nd Se
4 3 1 8
Direct
0.0000 0.0000 0.0000 K
0.0000 0.5000 0.5000 K
0.5000 0.0000 0.5000 K
0.5000 0.5000 0.0000 K
0.0000 0.0000 0.5000 Tb
0.0000 0.5000 0.0000 Tb
0.5000 0.0000 0.0000 Tb
0.5000 0.5000 0.5000 Nd
0.2298 0.7390 0.7390 Se
0.2350 0.2350 0.2350 Se
0.2610 0.2610 0.7702 Se
0.2610 0.7702 0.2610 Se
0.7390 0.2298 0.7390 Se
0.7390 0.7390 0.2298 Se
0.7650 0.7650 0.7650 Se
0.7702 0.2610 0.2610 Se
```


[8]
This entry pairs a crystal structure of K3Nd2ThSe6 with its simulated PXRD pattern. Radiation: Cu Kα, 1.54184 Å. Structure: a cell relaxed with GGA-PBE.
Peak positions follow from Bragg's law for the DFT cell and can differ from measured ones.

The 10 most intense peaks (2θ = 15–90°), in order of falling intensity:
2θ/deg  intensity
28.40  100
39.29  37
41.88  36
51.38  19
36.20  18
24.12  15
43.55  13
58.76  11
74.74  11
68.34  11

Structure:
```
K3Nd2ThSe6
1.0
9.9338 -2.1580 0.0000
9.9338 2.1580 0.0000
-2.9183 0.0000 8.7373
K Nd Th Se
3 2 1 6
Direct
0.0000 0.0000 0.0000 K
0.3312 0.3312 0.6668 K
0.6688 0.6688 0.3332 K
0.3314 0.3314 0.1619 Nd
0.6686 0.6686 0.8381 Nd
0.0000 0.0000 0.5000 Th
0.1558 0.1558 0.6004 Se
0.1739 0.1739 0.0649 Se
0.4933 0.4933 0.2742 Se
0.5067 0.5067 0.7258 Se
0.8261 0.8261 0.9351 Se
0.8442 0.8442 0.3996 Se
```


[9]
This entry pairs a crystal structure of KNd2USe5 with its simulated PXRD pattern. Radiation: Cu Kα, 1.54184 Å. Structure: a cell relaxed with GGA-PBE.
Peak positions follow from Bragg's law for the DFT cell and can differ from measured ones.

The 10 most intense peaks (2θ = 15–90°), in order of falling intensity:
2θ/deg  intensity
23.92  100
34.60  88
34.26  57
33.90  53
48.97  41
32.95  39
41.75  33
48.00  27
36.55  25
17.84  23

Structure:
```
KNd2USe5
1.0
-2.6441 3.7616 7.2894
2.6441 -3.7616 7.2894
2.6441 3.7616 -7.2894
K Nd U Se
1 2 1 5
Direct
0.0000 0.0000 0.0000 K
0.2971 0.7971 0.5000 Nd
0.7029 0.2029 0.5000 Nd
0.5000 0.5000 0.0000 U
0.1097 0.3491 0.7606 Se
0.4116 0.6509 0.7606 Se
0.5000 0.0000 0.5000 Se
0.5884 0.3491 0.2394 Se
0.8903 0.6509 0.2394 Se
```


[10]
This entry pairs a crystal structure of K3Nd3ZrSe8 with its simulated PXRD pattern. Radiation: Cu Kα, 1.54184 Å. Structure: a cell relaxed with GGA-PBE.
Peak positions follow from Bragg's law for the DFT cell and can differ from measured ones.

The 10 most intense peaks (2θ = 15–90°), in order of falling intensity:
2θ/deg  intensity
28.66  100
42.65  35
39.25  33
36.24  23
52.20  17
44.26  14
69.61  14
49.31  14
24.54  11
64.78  10

Structure:
```
K3Nd3ZrSe8
1.0
4.2394 2.4476 7.8424
-4.2394 2.4476 7.8424
0.0000 -4.8952 7.8424
K Nd Zr Se
3 3 1 8
Direct
0.0000 0.5000 0.5000 K
0.5000 0.0000 0.5000 K
0.5000 0.5000 0.0000 K
0.0000 0.0000 0.5000 Nd
0.0000 0.5000 0.0000 Nd
0.5000 0.0000 0.0000 Nd
0.5000 0.5000 0.5000 Zr
0.2373 0.2373 0.2373 Se
0.2562 0.7214 0.7214 Se
0.2786 0.2786 0.7438 Se
0.2786 0.7438 0.2786 Se
0.7214 0.2562 0.7214 Se
0.7214 0.7214 0.2562 Se
0.7438 0.2786 0.2786 Se
0.7627 0.7627 0.7627 Se
```


[11]
This entry pairs a crystal structure of KNdSm2Te4 with its simulated PXRD pattern. Radiation: Cu Kα, 1.54184 Å. Structure: a cell relaxed with GGA-PBE.
Peak positions follow from Bragg's law for the DFT cell and can differ from measured ones.

The 10 most intense peaks (2θ = 15–90°), in order of falling intensity:
2θ/deg  intensity
27.72  100
39.61  51
64.75  17
49.59  13
38.90  13
57.24  13
40.26  12
72.75  8
48.50  7
48.38  7

Structure:
```
KNdSm2Te4
1.0
7.9174 0.0000 0.0000
0.0000 4.4796 0.0000
-2.5189 0.0000 7.5254
K Nd Sm Te
1 1 2 4
Direct
0.0000 0.0000 0.0000 K
0.5000 0.5000 0.0000 Nd
0.0000 0.5000 0.5000 Sm
0.5000 0.0000 0.5000 Sm
0.2523 0.0000 0.7419 Te
0.2623 0.5000 0.2652 Te
0.7377 0.5000 0.7348 Te
0.7477 0.0000 0.2581 Te
```


[12]
This entry pairs a crystal structure of KNdTe4 with its simulated PXRD pattern. Radiation: Cu Kα, 1.54184 Å. Structure: a cell relaxed with GGA-PBE.
Peak positions follow from Bragg's law for the DFT cell and can differ from measured ones.

The 10 most intense peaks (2θ = 15–90°), in order of falling intensity:
2θ/deg  intensity
30.45  100
26.87  64
41.10  35
41.87  30
35.08  27
32.57  26
56.83  23
19.72  18
50.05  17
60.15  16

Structure:
```
KNdTe4
1.0
6.9449 0.0000 0.0000
0.0000 6.9449 0.0000
0.0000 0.0000 9.0024
K Nd Te
2 2 8
Direct
0.2500 0.2500 0.0000 K
0.7500 0.7500 0.0000 K
0.2500 0.2500 0.5000 Nd
0.7500 0.7500 0.5000 Nd
0.1058 0.6058 0.2866 Te
0.1058 0.8942 0.7134 Te
0.3942 0.6058 0.7134 Te
0.3942 0.8942 0.2866 Te
0.6058 0.1058 0.7134 Te
0.6058 0.3942 0.2866 Te
0.8942 0.1058 0.2866 Te
0.8942 0.3942 0.7134 Te
```


[13]
This entry pairs a crystal structure of KNpNi2S4 with its simulated PXRD pattern. Radiation: Cu Kα, 1.54184 Å. Structure: a cell relaxed with GGA-PBE.
Peak positions follow from Bragg's law for the DFT cell and can differ from measured ones.

The 10 most intense peaks (2θ = 15–90°), in order of falling intensity:
2θ/deg  intensity
29.45  100
17.69  76
50.85  45
40.49  34
33.59  31
28.32  25
35.82  22
46.03  16
19.92  16
61.12  16

Structure:
```
KNpNi2S4
1.0
6.3002 0.0000 0.0000
0.0000 6.3038 0.0000
0.0000 0.0000 8.2780
K Np Ni S
2 2 4 8
Direct
0.0000 0.0000 0.0000 K
0.5000 0.5000 0.5000 K
0.0000 0.0000 0.5000 Np
0.5000 0.5000 0.0000 Np
0.0000 0.5000 0.2494 Ni
0.0000 0.5000 0.7506 Ni
0.5000 0.0000 0.2506 Ni
0.5000 0.0000 0.7494 Ni
0.2218 0.2220 0.2919 S
0.2218 0.7780 0.7081 S
0.2782 0.2780 0.7919 S
0.2782 0.7220 0.2081 S
0.7218 0.2780 0.2081 S
0.7218 0.7220 0.7919 S
0.7782 0.2220 0.7081 S
0.7782 0.7780 0.2919 S
```